Calculated PXRD pattern
Compound: Ca3Mg2FeC6O18
Radiation: Cu Kα (weighted mean of Kα1 and Kα2)
Structure: DFT lattice parameters and positions (PBE+U)
Peak positions follow from Bragg's law for the DFT cell and can differ from measured ones.

Main lines, in order of rising 2θ (2θ from 10° to 80°):
hkl 0 1 2, 23.71 deg, I 6; hkl 1 -2 0, 30.53 deg, I 100; hkl -1 1 4, 36.83 deg, I 9; hkl 1 0 -5, 40.51 deg, I 12; hkl 1 1 3, 40.62 deg, I 9; hkl -2 2 2, 44.24 deg, I 6; hkl 0 0 6, 44.39 deg, I 11; hkl 0 3 0, 49.74 deg, I 13; hkl 1 -3 4, 49.88 deg, I 6; hkl 2 1 -2, 50.29 deg, I 17; hkl 1 -2 6, 50.52 deg, I 5; hkl -3 1 2, 58.88 deg, I 6

```
data_Ca3Mg2FeC6O18
_cell_length_a 4.8756
_cell_length_b 6.1086
_cell_length_c 12.4797
_cell_angle_alpha 100.00
_cell_angle_beta 90.35
_cell_angle_gamma 113.46
_space_group_name_H-M_alt 'P -1'
_space_group_IT_number 2
loop_
_space_group_symop_operation_xyz
'x,y,z'
'-x,-y,-z'
loop_
_atom_site_label
_atom_site_type_symbol
_atom_site_fract_x
_atom_site_fract_y
_atom_site_fract_z
_atom_site_occupancy
Ca1 Ca 0.0000 0.0000 0.0000 1
Ca2 Ca 0.3359 0.6682 0.6688 1
Mg1 Mg 0.3348 0.6658 0.1665 1
Fe1 Fe 0.0000 0.0000 0.5000 1
C1 C 0.0076 0.0187 0.7492 1
C2 C 0.3218 0.6479 0.9193 1
C3 C 0.3432 0.6838 0.4135 1
O1 O 0.0626 0.9145 0.6569 1
O2 O 0.0784 0.6841 0.4213 1
O3 O 0.1229 0.5683 0.8364 1
O4 O 0.2071 0.1016 0.8320 1
O5 O 0.2512 0.9700 0.2402 1
O6 O 0.2643 0.7439 0.0129 1
O7 O 0.4147 0.5960 0.3209 1
O8 O 0.4174 0.3597 0.0927 1
O9 O 0.4666 0.2356 0.5006 1
```